Structure and theoretical powder X-ray diffraction pattern of CsKS12 (a DFT-relaxed cell (PBE, Alexandria); Cu Kα, 1.54184 Å).
No peak broadening, texture or thermal motion is included.

Principal peaks in the range 2θ from 10° to 90°, in order of rising 2θ:
4.564 Å, 19.4 deg, rel. 24; 3.626 Å, 24.6 deg, rel. 100; 3.541 Å, 25.2 deg, rel. 26; 2.985 Å, 29.9 deg, rel. 26; 2.195 Å, 41.1 deg, rel. 18; 2.132 Å, 42.4 deg, rel. 28; 2.023 Å, 44.8 deg, rel. 16; 1.475 Å, 63.0 deg, rel. 14

Structural model:
```
data_CsKS12
_space_group_name_H-M_alt 'P 4/m m m'
_space_group_IT_number 123
_space_group_name_Hall '-P 4 2'
_cell_length_a 5.970
_cell_length_b 5.970
_cell_length_c 14.163
_cell_angle_alpha 90.00
_cell_angle_beta 90.00
_cell_angle_gamma 90.00
loop_
_atom_site_label
_atom_site_fract_x
_atom_site_fract_y
_atom_site_fract_z
Cs1 0.000 0.000 0.000
K1 0.000 0.000 0.500
S1 0.163 0.500 0.251
S2 0.500 0.500 0.070
S3 0.500 0.500 0.430
```